Simulated XRD peak list of Cd5In2Au3 for CuKα, from a crystal structure in Alexandria, relaxed with PBE.

Cell and atoms:
Unit cell a=4.245 b=29.615 c=7.247 alpha=90.00 beta=90.00 gamma=90.00
Space group Cmc2_1 (No. 36)
Inequivalent atoms, fractional coordinates:
Cd (0.000, 0.054, 0.000) x4
Cd (0.000, 0.130, 0.569) x4
Cd (0.000, 0.297, 0.253) x4
Cd (0.000, 0.300, 0.801) x4
Cd (0.000, 0.401, 0.776) x4
In (0.000, 0.165, 0.034) x4
In (0.000, 0.478, 0.175) x4
Au (0.000, 0.038, 0.401) x4
Au (0.000, 0.230, 0.526) x4
Au (0.000, 0.391, 0.345) x4

Peak list (10 most intense, 2θ from 5° to 70°, by intensity)
32.6°, I 100, hkl 1 1 2
33.8°, I 67, hkl 1 3 2
42.6°, I 48, hkl 2 0 0
32.3°, I 34, hkl 1 7 1
39.6°, I 33, hkl 1 11 0
39.3°, I 32, hkl 0 10 2
41.6°, I 28, hkl 0 6 3
34.5°, I 24, hkl 1 9 0
44.1°, I 24, hkl 1 3 3
21.8°, I 22, hkl 0 6 1


Simulated XRD peak list of Sr2Tl3Cd for CuKα, from a crystal structure in Alexandria, relaxed with PBE.

Cell and atoms:
Unit cell a=8.029 b=10.449 c=18.180 alpha=90.00 beta=90.00 gamma=90.00
Space group Fmmm (No. 69)
Inequivalent atoms, fractional coordinates:
Sr (0.249, 0.000, 0.000) x8
Sr (0.250, 0.250, 0.250) x8
Tl (0.000, 0.000, 0.170) x8
Tl (0.000, 0.245, 0.415) x16
Cd (0.000, 0.000, 0.333) x8

Peak list (10 most intense, 2θ from 5° to 70°, by intensity)
29.7°, I 100, hkl 2 2 2
34.2°, I 64, hkl 0 2 6
22.1°, I 34, hkl 2 0 0
34.3°, I 32, hkl 0 4 0
57.9°, I 29, hkl 4 2 6
41.1°, I 28, hkl 2 2 6
46.0°, I 20, hkl 2 4 4
19.6°, I 15, hkl 0 2 2
45.2°, I 15, hkl 4 0 0
57.9°, I 14, hkl 4 4 0


Simulated XRD peak list of Li2NbSb for CuKα, from a crystal structure in Alexandria, relaxed with PBE.

Cell and atoms:
Unit cell a=7.470 b=7.470 c=5.453 alpha=90.00 beta=90.00 gamma=90.00
Space group I-42d (No. 122)
Inequivalent atoms, fractional coordinates:
Li (0.234, 0.750, 0.125) x8
Nb (0.000, 0.000, 0.500) x4
Sb (0.000, 0.000, 0.000) x4

Peak list (10 most intense, 2θ from 5° to 70°, by intensity)
23.8°, I 100, hkl 2 0 0
37.1°, I 69, hkl 1 1 2
51.2°, I 54, hkl 3 1 2
33.9°, I 48, hkl 2 2 0
55.0°, I 20, hkl 4 2 0
48.8°, I 17, hkl 4 0 0
62.8°, I 14, hkl 3 3 2
68.9°, I 2, hkl 0 0 4
20.2°, I 2, hkl 1 0 1
31.4°, I 1, hkl 2 1 1


Simulated XRD peak list of Pr2BPt5 for CuKα, from a crystal structure in Alexandria, relaxed with PBE.

Cell and atoms:
Unit cell a=5.813 b=5.813 c=9.377 alpha=90.00 beta=90.00 gamma=90.00
Space group I4mm (No. 107)
Inequivalent atoms, fractional coordinates:
Pr (0.000, 0.500, 0.000) x4
B (0.000, 0.000, 0.182) x2
Pt (0.000, 0.000, 0.953) x2
Pt (0.248, 0.248, 0.748) x8

Peak list (10 most intense, 2θ from 5° to 70°, by intensity)
36.4°, I 100, hkl 2 0 2
44.1°, I 31, hkl 2 2 0
59.8°, I 21, hkl 2 2 4
38.4°, I 19, hkl 0 0 4
18.0°, I 15, hkl 1 0 1
68.1°, I 12, hkl 2 0 6
64.1°, I 10, hkl 4 0 0
18.9°, I 10, hkl 0 0 2
50.0°, I 5, hkl 2 0 4
35.8°, I 5, hkl 2 1 1


Simulated XRD peak list of Rb2CdCI6 for CuKα, from a crystal structure in Alexandria, relaxed with PBE.

Cell and atoms:
Unit cell a=8.080 b=8.080 c=11.411 alpha=90.00 beta=90.00 gamma=90.00
Space group I4/mmm (No. 139)
Inequivalent atoms, fractional coordinates:
Rb (0.000, 0.500, 0.250) x4
Cd (0.000, 0.000, 0.000) x2
C (0.000, 0.000, 0.500) x2
I (0.000, 0.000, 0.264) x4
I (0.236, 0.236, 0.500) x8

Peak list (10 most intense, 2θ from 5° to 70°, by intensity)
27.0°, I 100, hkl 2 0 2
31.3°, I 88, hkl 2 2 0
44.9°, I 62, hkl 4 0 0
53.2°, I 42, hkl 4 2 2
55.8°, I 21, hkl 4 0 4
15.5°, I 20, hkl 1 1 0
34.2°, I 12, hkl 2 1 3
35.1°, I 9, hkl 3 1 0
25.9°, I 8, hkl 1 0 3
62.5°, I 8, hkl 2 1 7


Simulated XRD peak list of La3YMn for CuKα, from a crystal structure in Alexandria, relaxed with PBE.

Cell and atoms:
Unit cell a=5.415 b=5.415 c=5.415 alpha=90.00 beta=90.00 gamma=90.00
Space group Pm-3m (No. 221)
Inequivalent atoms, fractional coordinates:
La (0.000, 0.000, 0.500) x3
Y (0.500, 0.500, 0.500) x1
Mn (0.000, 0.000, 0.000) x1

Peak list (10 most intense, 2θ from 5° to 70°, by intensity)
28.6°, I 100, hkl 1 1 1
33.1°, I 80, hkl 2 0 0
47.5°, I 57, hkl 2 2 0
56.4°, I 45, hkl 3 1 1
59.1°, I 20, hkl 2 2 2
16.4°, I 15, hkl 1 0 0
69.4°, I 9, hkl 4 0 0
37.1°, I 8, hkl 2 1 0
50.6°, I 4, hkl 3 0 0
61.8°, I 2, hkl 3 2 0


Simulated XRD peak list of CaAlH5 for CuKα, from a crystal structure in Alexandria, relaxed with PBE.

Cell and atoms:
Unit cell a=8.289 b=6.874 c=12.310 alpha=90.00 beta=128.62 gamma=90.00
Space group P2_1/c (No. 14)
Inequivalent atoms, fractional coordinates:
Ca (0.157, 0.228, 0.348) x4
Ca (0.284, 0.730, 0.544) x4
Al (0.283, 0.221, 0.656) x4
Al (0.307, 0.691, 0.311) x4
H (0.057, 0.211, 0.630) x4
H (0.110, 0.708, 0.137) x4
H (0.150, 0.562, 0.337) x4
H (0.193, 0.614, 0.836) x4
H (0.223, 0.097, 0.042) x4
H (0.233, 0.055, 0.537) x4
H (0.387, 0.140, 0.302) x4
H (0.390, 0.032, 0.790) x4
H (0.454, 0.693, 0.776) x4
H (0.499, 0.695, 0.485) x4

Peak list (10 most intense, 2θ from 5° to 70°, by intensity)
25.9°, I 100, hkl 0 2 0
33.3°, I 60, hkl 1 1 -4
27.5°, I 54, hkl 2 0 0
36.9°, I 50, hkl 3 1 -4
30.5°, I 37, hkl 2 1 0
32.2°, I 36, hkl 2 1 -4
38.2°, I 31, hkl 2 2 0
32.1°, I 29, hkl 1 1 2
21.5°, I 21, hkl 2 0 -2
53.2°, I 18, hkl 0 4 0


Simulated XRD peak list of NdZn3Ag3 for CuKα, from a crystal structure in Alexandria, relaxed with PBE.

Cell and atoms:
Unit cell a=12.084 b=12.084 c=12.084 alpha=90.00 beta=90.00 gamma=90.00
Space group Fm-3m (No. 225)
Inequivalent atoms, fractional coordinates:
Nd (0.250, 0.250, 0.250) x8
Zn (0.000, 0.000, 0.147) x24
Ag (0.000, 0.000, 0.341) x24

Peak list (10 most intense, 2θ from 5° to 70°, by intensity)
45.0°, I 100, hkl 4 4 2
25.5°, I 69, hkl 2 2 2
47.6°, I 57, hkl 6 2 0
20.8°, I 56, hkl 2 2 0
29.6°, I 43, hkl 4 0 0
14.7°, I 41, hkl 2 0 0
65.5°, I 25, hkl 6 6 0
33.2°, I 23, hkl 4 2 0
36.4°, I 10, hkl 4 2 2
61.4°, I 10, hkl 8 0 0


Simulated XRD peak list of In8Ir for CuKα, from a crystal structure in Alexandria, relaxed with PBE.

Cell and atoms:
Unit cell a=9.837 b=9.837 c=4.511 alpha=90.00 beta=90.00 gamma=90.00
Space group I4/mmm (No. 139)
Inequivalent atoms, fractional coordinates:
In (0.000, 0.317, 0.000) x8
In (0.153, 0.153, 0.500) x8
Ir (0.000, 0.000, 0.000) x2

Peak list (10 most intense, 2θ from 5° to 70°, by intensity)
33.8°, I 100, hkl 3 0 1
38.8°, I 32, hkl 3 3 0
67.1°, I 22, hkl 6 3 1
57.0°, I 21, hkl 3 3 2
40.0°, I 16, hkl 0 0 2
68.7°, I 12, hkl 3 0 3
56.1°, I 10, hkl 6 0 0
12.7°, I 9, hkl 1 1 0
42.9°, I 6, hkl 4 1 1
18.0°, I 2, hkl 2 0 0


Simulated XRD peak list of Ta2Mo5 for CuKα, from a crystal structure in Alexandria, relaxed with PBE.

Cell and atoms:
Unit cell a=2.793 b=6.941 c=6.952 alpha=118.16 beta=97.53 gamma=97.71
Space group P-1 (No. 2)
Inequivalent atoms, fractional coordinates:
Ta (0.206, 0.355, 0.281) x2
Mo (0.073, 0.789, 0.429) x2
Mo (0.363, 0.927, 0.145) x2
Mo (0.500, 0.500, 0.000) x1

Peak list (10 most intense, 2θ from 5° to 70°, by intensity)
39.7°, I 100, hkl 1 1 -2
39.9°, I 100, hkl 0 2 1
39.6°, I 52, hkl 1 0 1
57.6°, I 49, hkl -1 1 3
40.1°, I 48, hkl 0 3 -2
14.9°, I 20, hkl 0 1 -1
25.9°, I 8, hkl 0 2 -1
29.9°, I 5, hkl 0 0 2
36.6°, I 3, hkl -1 1 1
33.2°, I 3, hkl 1 0 -1


Simulated XRD peak list of Nd4SmTmS8 for CuKα, from a crystal structure in Alexandria, relaxed with PBE.

Cell and atoms:
Unit cell a=8.2706 b=8.2706 c=20.2293 alpha=90.00 beta=90.00 gamma=120.00
Space group R3m (No. 160, hexagonal axes)
Inequivalent atoms, fractional coordinates:
Nd (0.0000, 0.0000, 0.0000) x3
Nd (0.1699, 0.3397, 0.2078) x9
Sm (0.0000, 0.0000, 0.3775) x3
Tm (0.0000, 0.0000, 0.7504) x3
S (0.0000, 0.0000, 0.1335) x3
S (0.0000, 0.0000, 0.6234) x3
S (0.0078, 0.5039, 0.1248) x9
S (0.1792, 0.3585, 0.9568) x9

Peak list (10 most intense, 2θ from 5° to 70°, by intensity)
25.3°, I 100, hkl 0 1 5
43.8°, I 58, hkl 2 0 8
40.1°, I 43, hkl 1 2 5
21.5°, I 28, hkl 1 1 0
60.9°, I 25, hkl 1 0 13
30.6°, I 17, hkl 0 2 4
51.2°, I 15, hkl 3 1 5
37.7°, I 14, hkl 3 0 0
69.6°, I 13, hkl 5 0 5
26.4°, I 11, hkl 2 0 2


Simulated XRD peak list of ErHg2Pd6 for CuKα, from a crystal structure in Alexandria, relaxed with PBE.

Cell and atoms:
Unit cell a=9.066 b=4.224 c=8.577 alpha=90.00 beta=106.61 gamma=90.00
Space group C2/m (No. 12)
Inequivalent atoms, fractional coordinates:
Er (0.000, 0.000, 0.000) x2
Hg (0.188, 0.500, 0.239) x4
Pd (0.013, 0.000, 0.336) x4
Pd (0.157, 0.500, 0.885) x4
Pd (0.158, 0.500, 0.553) x4

Peak list (10 most intense, 2θ from 5° to 70°, by intensity)
38.0°, I 100, hkl 1 1 -3
37.7°, I 96, hkl 3 1 0
42.8°, I 36, hkl 0 2 0
43.8°, I 30, hkl 2 0 3
45.3°, I 30, hkl 4 0 -3
64.1°, I 21, hkl 4 2 -3
62.9°, I 20, hkl 2 2 3
65.3°, I 10, hkl 2 0 -6
27.1°, I 9, hkl 1 1 1
64.3°, I 8, hkl 6 0 0


> What is the formula in the second record?

Sr2Tl3Cd